Starting from DFT lattice parameters and positions (PBE), the powder X-ray diffraction pattern of Pm5Cu2Ge5 was calculated for Cu Kα.
No peak broadening, texture or thermal motion is included.

Peak list (12 most intense, 5° ≤ 2θ ≤ 70°, by intensity)
index, d/Å, intensity
3 1 0, 2.778, 100
1 1 3, 2.528, 70
0 0 4, 2.719, 65
3 1 -4, 2.277, 58
0 2 0, 2.147, 48
0 2 4, 1.685, 31
3 1 -3, 2.568, 31
4 0 -2, 2.888, 29
3 1 4, 1.723, 23
7 1 -3, 1.553, 22
3 1 -2, 2.802, 21
1 1 -1, 3.921, 19

Crystal structure
Cell: 11.698 4.294 11.642 Å, 90.00 110.88 90.00°
Space group C2/m (No. 12)
One atom of each set of equivalent atoms:
Pm  0.000  0.000  0.000 (multiplicity 2)
Pm  0.120  0.500  0.775 (multiplicity 4)
Pm  0.156  0.500  0.493 (multiplicity 4)
Cu  0.179  0.500  0.245 (multiplicity 4)
Ge  0.000  0.000  0.500 (multiplicity 2)
Ge  0.099  0.000  0.284 (multiplicity 4)
Ge  0.214  0.500  0.050 (multiplicity 4)